Structure and computed powder diffractogram of Tl2HgBi2Pd2 (a DFT-relaxed cell (PBE, Alexandria); Cu Kα, 1.54184 Å).
Kinematic intensities with the Lorentz-polarization factor, no thermal factor.

Most intense lines, 15 to 90 degrees two-theta, by angle:
d/Å, I/Imax, (hkl)
3.636, 67, 1 1 0
2.725, 100, 1 0 5
2.571, 66, 2 0 0
1.870, 68, 2 1 5
1.818, 24, 2 2 0
1.304, 21, 3 2 5

Structural model:
Cell: 5.1422 5.1422 16.0647 Å, 90.00 90.00 90.00°
Space group I4/mmm (No. 139)
Unique sites:
1 Tl 0.0000 0.0000 0.1890 (multiplicity 4)
2 Hg 0.0000 0.0000 0.0000 (multiplicity 2)
3 Bi 0.0000 0.0000 0.4024 (multiplicity 4)
4 Pd 0.0000 0.5000 0.0000 (multiplicity 4)